No. 1
Simulated powder X-ray diffraction pattern of TbEr6Ni2 for Cu Kα (λ = 1.5418 Å), from DFT lattice parameters and positions (GGA-PBE).
Lines closer than 0.1° are merged.

Peak list (6 most intense, 2θ = 10–80°, by angle)
| 2θ/deg | Rel. int. |
| --- | --- |
| 31.0 | 23 |
| 31.9 | 100 |
| 33.4 | 37 |
| 34.2 | 24 |
| 34.4 | 18 |
| 61.0 | 19 |

Cell and atoms:
Cell lengths 8.475, 8.475, 8.475 Å; angles 115.62, 106.89, 106.08 degrees
Sites, in units of the cell vectors:
Tb (0.000, 0.000, 0.000)
Tb (0.500, 0.500, 0.000)
Er (0.003, 0.223, 0.780)
Er (0.192, 0.303, 0.495)
Er (0.192, 0.697, 0.889)
Er (0.310, 0.008, 0.698)
Er (0.310, 0.612, 0.302)
Er (0.444, 0.223, 0.220)
Er (0.556, 0.777, 0.780)
Er (0.690, 0.388, 0.698)
Er (0.690, 0.992, 0.302)
Er (0.808, 0.303, 0.111)
Er (0.808, 0.697, 0.505)
Er (0.997, 0.777, 0.220)
Ni (0.119, 0.619, 0.500)
Ni (0.371, 0.000, 0.371)
Ni (0.629, 0.000, 0.629)
Ni (0.881, 0.381, 0.500)

No. 2
Simulated powder X-ray diffraction pattern of YHoRe for Cu Kα (λ = 1.5418 Å), from DFT lattice parameters and positions (GGA-PBE).
Lines closer than 0.1° are merged.

Peak list (6 most intense, 2θ = 10–80°, by angle)
| 2θ/deg | Rel. int. |
| --- | --- |
| 31.0 | 23 |
| 33.7 | 100 |
| 37.6 | 60 |
| 39.9 | 66 |
| 42.2 | 34 |
| 68.5 | 25 |

Cell and atoms:
Cell lengths 3.197, 3.197, 14.432 Å; angles 90.00, 90.00, 90.00 degrees
Sites, in units of the cell vectors:
Y (0.250, 0.250, 0.096)
Y (0.750, 0.750, 0.904)
Ho (0.250, 0.250, 0.691)
Ho (0.750, 0.750, 0.309)
Re (0.250, 0.250, 0.453)
Re (0.750, 0.750, 0.547)

No. 3
Simulated powder X-ray diffraction pattern of Na3V5Se10 for Cu Kα (λ = 1.5418 Å), from DFT lattice parameters and positions (GGA-PBE).
Lines closer than 0.1° are merged.

Peak list (6 most intense, 2θ = 10–80°, by angle)
| 2θ/deg | Rel. int. |
| --- | --- |
| 12.1 | 100 |
| 29.1 | 21 |
| 29.9 | 30 |
| 35.0 | 48 |
| 35.3 | 42 |
| 35.7 | 45 |

Cell and atoms:
Cell lengths 6.200, 8.489, 9.033 Å; angles 114.20, 96.68, 103.57 degrees
Sites, in units of the cell vectors:
Na (0.000, 0.000, 0.000)
Na (0.128, 0.390, 0.390)
Na (0.387, 0.777, 0.794)
V (0.164, 0.084, 0.586)
V (0.366, 0.490, 0.995)
V (0.535, 0.912, 0.407)
V (0.697, 0.276, 0.779)
V (0.896, 0.695, 0.204)
Se (0.088, 0.393, 0.715)
Se (0.174, 0.768, 0.477)
Se (0.281, 0.797, 0.118)
Se (0.375, 0.163, 0.882)
Se (0.493, 0.221, 0.498)
Se (0.564, 0.573, 0.289)
Se (0.700, 0.610, 0.904)
Se (0.789, 0.979, 0.677)
Se (0.888, 0.014, 0.312)
Se (0.974, 0.385, 0.065)